# Cs3AuIBr
Computed XRD peak list, Cu Kα X-rays. Input: a structure optimized by DFT (PBE).
Kinematic intensities with the Lorentz-polarization factor, no thermal factor.

Atomic structure:
Unit cell a=10.4241 b=5.1030 c=13.4942 alpha=90.00 beta=111.56 gamma=90.00
Fractional coordinates of all 12 atoms:
Cs (0.0337, 0.2500, 0.2380)
Cs (0.3117, 0.7500, 0.0479)
Cs (0.4224, 0.7500, 0.6272)
Cs (0.5776, 0.2500, 0.3728)
Cs (0.6883, 0.2500, 0.9521)
Cs (0.9663, 0.7500, 0.7620)
Au (0.0567, 0.2500, 0.9869)
Au (0.9433, 0.7500, 0.0131)
I (0.2864, 0.2500, 0.7764)
I (0.7136, 0.7500, 0.2236)
Br (0.3168, 0.7500, 0.3429)
Br (0.6832, 0.2500, 0.6571)

Main lines, in order of rising 2θ (10 to 90 degrees two-theta):
| 2θ (°) | I (rel.) |
| --- | --- |
| 13.4 | 95 |
| 21.2 | 55 |
| 22.2 | 50 |
| 25.3 | 83 |
| 26.4 | 91 |
| 27.6 | 55 |
| 28.1 | 84 |
| 28.5 | 100 |
| 31.5 | 55 |
| 35.2 | 74 |
| 36.3 | 58 |
| 44.5 | 48 |

# CeSn3Ru
Computed XRD peak list, Cu Kα X-rays. Input: a structure optimized by DFT (PBE).
Kinematic intensities with the Lorentz-polarization factor, no thermal factor.

Atomic structure:
Unit cell a=9.7608 b=9.7608 c=9.7608 alpha=90.00 beta=90.00 gamma=90.00
Fractional coordinates of all 40 atoms:
Ce (0.0000, 0.0000, 0.0000)
Ce (0.0000, 0.2500, 0.5000)
Ce (0.0000, 0.7500, 0.5000)
Ce (0.2500, 0.5000, 0.0000)
Ce (0.5000, 0.0000, 0.2500)
Ce (0.5000, 0.0000, 0.7500)
Ce (0.5000, 0.5000, 0.5000)
Ce (0.7500, 0.5000, 0.0000)
Sn (0.0000, 0.3173, 0.1548)
Sn (0.0000, 0.3173, 0.8452)
Sn (0.0000, 0.6827, 0.1548)
Sn (0.0000, 0.6827, 0.8452)
Sn (0.1548, 0.0000, 0.3173)
Sn (0.1548, 0.0000, 0.6827)
Sn (0.1827, 0.5000, 0.3452)
Sn (0.1827, 0.5000, 0.6548)
Sn (0.3173, 0.1548, 0.0000)
Sn (0.3173, 0.8452, 0.0000)
Sn (0.3452, 0.1827, 0.5000)
Sn (0.3452, 0.8173, 0.5000)
Sn (0.5000, 0.3452, 0.1827)
Sn (0.5000, 0.3452, 0.8173)
Sn (0.5000, 0.6548, 0.1827)
Sn (0.5000, 0.6548, 0.8173)
Sn (0.6548, 0.1827, 0.5000)
Sn (0.6548, 0.8173, 0.5000)
Sn (0.6827, 0.1548, 0.0000)
Sn (0.6827, 0.8452, 0.0000)
Sn (0.8173, 0.5000, 0.3452)
Sn (0.8173, 0.5000, 0.6548)
Sn (0.8452, 0.0000, 0.3173)
Sn (0.8452, 0.0000, 0.6827)
Ru (0.2500, 0.2500, 0.2500)
Ru (0.2500, 0.2500, 0.7500)
Ru (0.2500, 0.7500, 0.2500)
Ru (0.2500, 0.7500, 0.7500)
Ru (0.7500, 0.2500, 0.2500)
Ru (0.7500, 0.2500, 0.7500)
Ru (0.7500, 0.7500, 0.2500)
Ru (0.7500, 0.7500, 0.7500)

Main lines, in order of rising 2θ (10 to 90 degrees two-theta):
| 2θ (°) | I (rel.) |
| --- | --- |
| 33.1 | 100 |
| 34.4 | 44 |
| 36.8 | 18 |
| 38.0 | 14 |
| 41.4 | 10 |
| 45.5 | 23 |
| 54.8 | 12 |
| 58.3 | 15 |
| 63.2 | 14 |
| 67.1 | 13 |
| 70.2 | 10 |
| 84.2 | 12 |

# LaAs3Pd10
Computed XRD peak list, Cu Kα X-rays. Input: a structure optimized by DFT (PBE).
Kinematic intensities with the Lorentz-polarization factor, no thermal factor.

Atomic structure:
Unit cell a=8.8975 b=8.8975 c=8.8975 alpha=60.00 beta=60.00 gamma=60.00
Fractional coordinates of all 28 atoms:
La (0.2500, 0.2500, 0.2500)
La (0.7500, 0.7500, 0.7500)
As (0.2403, 0.2403, 0.7597)
As (0.2403, 0.7597, 0.2403)
As (0.2403, 0.7597, 0.7597)
As (0.7597, 0.2403, 0.2403)
As (0.7597, 0.2403, 0.7597)
As (0.7597, 0.7597, 0.2403)
Pd (0.1151, 0.1151, 0.1151)
Pd (0.1151, 0.1151, 0.6548)
Pd (0.1151, 0.6548, 0.1151)
Pd (0.1500, 0.5000, 0.5000)
Pd (0.1500, 0.5000, 0.8500)
Pd (0.1500, 0.8500, 0.5000)
Pd (0.3452, 0.8849, 0.8849)
Pd (0.5000, 0.1500, 0.5000)
Pd (0.5000, 0.1500, 0.8500)
Pd (0.5000, 0.5000, 0.1500)
Pd (0.5000, 0.5000, 0.8500)
Pd (0.5000, 0.8500, 0.1500)
Pd (0.5000, 0.8500, 0.5000)
Pd (0.6548, 0.1151, 0.1151)
Pd (0.8500, 0.1500, 0.5000)
Pd (0.8500, 0.5000, 0.1500)
Pd (0.8500, 0.5000, 0.5000)
Pd (0.8849, 0.3452, 0.8849)
Pd (0.8849, 0.8849, 0.3452)
Pd (0.8849, 0.8849, 0.8849)

Main lines, in order of rising 2θ (10 to 90 degrees two-theta):
| 2θ (°) | I (rel.) |
| --- | --- |
| 31.8 | 34 |
| 34.9 | 15 |
| 37.1 | 100 |
| 40.6 | 52 |
| 42.5 | 53 |
| 48.0 | 42 |
| 60.7 | 11 |
| 62.6 | 25 |
| 64.1 | 12 |
| 67.9 | 13 |
| 73.8 | 28 |
| 89.1 | 12 |

# LaNi3As2
Computed XRD peak list, Cu Kα X-rays. Input: a structure optimized by DFT (PBE).
Kinematic intensities with the Lorentz-polarization factor, no thermal factor.

Atomic structure:
Unit cell a=7.8405 b=7.8405 c=7.2159 alpha=113.95 beta=113.95 gamma=29.30
Fractional coordinates of all 12 atoms:
La (0.1501, 0.1501, 0.0702)
La (0.8499, 0.8499, 0.9298)
Ni (0.0397, 0.0397, 0.3822)
Ni (0.3123, 0.3123, 0.5504)
Ni (0.4075, 0.4075, 0.3395)
Ni (0.5925, 0.5925, 0.6605)
Ni (0.6877, 0.6877, 0.4496)
Ni (0.9603, 0.9603, 0.6178)
As (0.1892, 0.1892, 0.6737)
As (0.4764, 0.4764, 0.7955)
As (0.5236, 0.5236, 0.2045)
As (0.8108, 0.8108, 0.3263)

Main lines, in order of rising 2θ (10 to 90 degrees two-theta):
| 2θ (°) | I (rel.) |
| --- | --- |
| 28.7 | 31 |
| 29.8 | 40 |
| 34.0 | 67 |
| 34.9 | 37 |
| 36.2 | 100 |
| 38.5 | 23 |
| 39.9 | 78 |
| 45.4 | 21 |
| 45.8 | 63 |
| 48.7 | 43 |
| 69.1 | 29 |
| 69.4 | 21 |